Computed X-ray powder pattern
Compound: Ni4Ge2P
Radiation: Cu Kα, 1.54184 Å
Structure: DFT lattice parameters and positions (PBE)
Peak positions follow from Bragg's law for the DFT cell and can differ from measured ones.

a = 6.725 Å, b = 6.725 Å, c = 6.725 Å
α = 143.82°, β = 143.82°, γ = 52.10°
Fractional coordinates of all 7 atoms:
1 Ni 0.000 0.500 0.500
2 Ni 0.175 0.175 0.000
3 Ni 0.500 0.000 0.500
4 Ni 0.825 0.825 0.000
5 Ge 0.366 0.366 0.000
6 Ge 0.634 0.634 0.000
7 P 0.000 0.000 0.000

Main lines, low angle first (2θ from 5° to 70°):
d [Å]	Rel. int.
6.042	15
2.953	33
2.653	56
2.112	64
2.089	100
2.014	18
1.974	3
1.595	2
1.477	40
1.450	24